The following is a theoretical powder diffractogram of Na4Pb5. It was derived from the GGA-PBE geometry in Alexandria, using copper Kα.
Peak positions follow from Bragg's law for the DFT cell and can differ from measured ones.

Atomic structure:
Lattice parameters (Å, degrees): 5.9278 5.9278 10.1583 103.39 103.39 49.94
Sites, in units of the cell vectors:
Na 0.0016 0.0016 0.3340
Na 0.3357 0.3357 0.7804
Na 0.6643 0.6643 0.2196
Na 0.9984 0.9984 0.6660
Pb 0.0000 0.0000 0.0000
Pb 0.3307 0.3307 0.1111
Pb 0.3332 0.3332 0.4471
Pb 0.6668 0.6668 0.5529
Pb 0.6693 0.6693 0.8889

Top 10 peaks for 2θ = 15–90°, sorted by position:
two_theta  intensity
18.06  41
20.74  58
21.29  25
31.41  100
31.95  96
32.87  18
35.93  70
38.34  29
51.72  25
53.52  23



The following is a theoretical powder diffractogram of RbHg3F8. It was derived from the GGA-PBE geometry in Alexandria, using copper Kα.
Peak positions follow from Bragg's law for the DFT cell and can differ from measured ones.

Atomic structure:
Lattice parameters (Å, degrees): 6.1332 6.1332 7.2922 90.00 90.00 120.00
Sites, in units of the cell vectors:
Rb 0.0000 0.0000 0.0000
Hg 0.0000 0.0000 0.5000
Hg 0.3333 0.6667 0.5917
Hg 0.6667 0.3333 0.4083
F 0.0747 0.3600 0.3580
F 0.2852 0.9253 0.3580
F 0.3333 0.6667 0.8819
F 0.3600 0.2852 0.6420
F 0.6400 0.7148 0.3580
F 0.6667 0.3333 0.1181
F 0.7148 0.0747 0.6420
F 0.9253 0.6400 0.6420

Top 10 peaks for 2θ = 15–90°, sorted by position:
two_theta  intensity
20.69  38
29.12  100
29.72  44
31.65  54
38.35  47
40.83  26
42.09  26
51.62  28
52.00  22
53.11  22



The following is a theoretical powder diffractogram of U2Br8O. It was derived from the GGA-PBE geometry in Alexandria, using copper Kα.
Peak positions follow from Bragg's law for the DFT cell and can differ from measured ones.

Atomic structure:
Lattice parameters (Å, degrees): 10.1045 10.1045 5.7032 106.32 106.32 69.33
Sites, in units of the cell vectors:
U 0.1319 0.1319 0.1300
U 0.8681 0.8681 0.8700
Br 0.0998 0.6388 0.8714
Br 0.1315 0.1315 0.6296
Br 0.3015 0.3015 0.2981
Br 0.3612 0.9002 0.1286
Br 0.6388 0.0998 0.8714
Br 0.6985 0.6985 0.7019
Br 0.8685 0.8685 0.3704
Br 0.9002 0.3612 0.1286
O 0.0000 0.0000 0.0000

Top 10 peaks for 2θ = 15–90°, sorted by position:
two_theta  intensity
15.42  57
16.55  64
17.36  100
18.71  43
22.77  81
31.13  56
31.37  59
38.91  36
39.12  49
44.78  41



The following is a theoretical powder diffractogram of Pu2CdGa3. It was derived from the GGA-PBE geometry in Alexandria, using copper Kα.
Peak positions follow from Bragg's law for the DFT cell and can differ from measured ones.

Atomic structure:
Lattice parameters (Å, degrees): 8.4375 8.4375 8.4375 154.37 147.80 41.60
Sites, in units of the cell vectors:
Pu 0.0000 0.0000 0.0000
Pu 0.7865 0.2865 0.5000
Cd 0.6078 0.6078 0.0000
Ga 0.1836 0.6836 0.5000
Ga 0.3420 0.8420 0.5000
Ga 0.4408 0.4408 0.0000

Top 10 peaks for 2θ = 15–90°, sorted by position:
two_theta  intensity
19.79  14
29.29  34
32.67  100
34.28  45
38.48  26
47.07  17
48.66  14
49.08  17
60.86  17
62.36  15